# 1
This entry pairs a crystal structure of SrLiAl2B2O7 with its simulated powder diffractogram. Radiation: λ = 1.5418 Å (Cu Kα). Structure: a structure optimized by DFT (PBE).

Peak list (10 most intense, 10 to 90 degrees two-theta, most intense first)
2θ/deg	I/Imax	(hkl)
10.74	100	0 0 1
25.87	76	1 0 2
31.75	33	0 1 2
36.55	33	1 -1 1
21.95	33	1 1 1
33.51	28	1 1 -2
22.54	28	0 1 -1
24.52	25	0 1 1
43.49	25	2 2 0
21.83	25	1 0 0

Structure:
Cell: 4.899 4.918 8.625 Å, 86.94 73.79 60.32°
Space group P1 (No. 1)
Asymmetric unit:
Sr  0.000  0.000  0.000
Li  0.255  0.980  0.579
Al  0.177  0.388  0.284
Al  0.856  0.597  0.681
B  0.456  0.292  0.771
B  0.555  0.712  0.200
O  0.086  0.375  0.492
O  0.144  0.552  0.790
O  0.328  0.014  0.177
O  0.498  0.990  0.751
O  0.502  0.465  0.187
O  0.710  0.333  0.784
O  0.864  0.653  0.197

***

# 2
This entry pairs a crystal structure of SrLiAl2B2O7 with its simulated powder diffractogram. Radiation: λ = 1.5418 Å (Cu Kα). Structure: a structure optimized by DFT (PBE).

Peak list (10 most intense, 10 to 90 degrees two-theta, most intense first)
2θ/deg	I/Imax	(hkl)
10.72	100	0 0 1
24.87	55	1 1 1
32.29	48	1 1 2
22.12	42	1 1 -1
26.14	35	2 0 -2
21.67	30	2 0 0
36.47	28	3 1 -1
27.92	28	1 1 -2
42.50	23	2 2 0
33.94	23	2 0 -3

Structure:
Cell: 8.522 4.976 8.577 Å, 90.00 105.79 90.00°
Space group C2 (No. 5)
Asymmetric unit:
Sr  0.000  0.000  0.000
Li  0.000  0.920  0.500
Al  0.075  0.492  0.708
B  0.234  0.507  0.210
O  0.000  0.530  0.500
O  0.078  0.413  0.190
O  0.135  0.833  0.774
O  0.241  0.280  0.812

***

# 3
This entry pairs a crystal structure of LuAlB4 with its simulated powder diffractogram. Radiation: λ = 1.5418 Å (Cu Kα). Structure: a structure optimized by DFT (PBE).

Peak list (10 most intense, 10 to 90 degrees two-theta, most intense first)
2θ/deg	I/Imax	(hkl)
40.71	100	0 4 1
31.31	79	0 4 0
25.36	57	0 0 1
21.65	57	1 2 0
33.58	46	1 2 1
38.03	40	1 3 1
27.87	37	1 3 0
16.91	28	1 1 0
62.03	23	0 4 2
57.34	22	2 5 1

Structure:
Cell: 5.901 11.431 3.512 Å, 90.00 90.00 90.00°
Space group Pbam (No. 55)
Asymmetric unit:
Lu  0.130  0.150  0.000
Al  0.138  0.410  0.000
B  0.026  0.693  0.500
B  0.114  0.547  0.500
B  0.133  0.969  0.500
B  0.209  0.813  0.500

***

# 4
This entry pairs a crystal structure of LuAlB14 with its simulated powder diffractogram. Radiation: λ = 1.5418 Å (Cu Kα). Structure: a structure optimized by DFT (PBE).

Peak list (10 most intense, 10 to 90 degrees two-theta, most intense first)
2θ/deg	I/Imax	(hkl)
27.85	100	1 1 2
13.74	98	0 1 1
17.00	72	0 2 0
33.38	55	2 1 1
40.27	51	1 2 3
25.24	50	1 2 1
37.17	48	1 3 2
41.61	44	2 3 1
34.92	32	2 2 0
18.52	24	1 0 1

Structure:
Cell: 5.904 10.434 8.196 Å, 90.00 90.00 90.00°
Space group Imma (No. 74)
Asymmetric unit:
Lu  0.000  0.250  0.153
Al  0.250  0.250  0.750
B  0.000  0.090  0.668
B  0.000  0.145  0.876
B  0.000  0.168  0.466
B  0.162  0.062  0.337
B  0.247  0.080  0.548

***

# 5
This entry pairs a crystal structure of LuAlB4 with its simulated powder diffractogram. Radiation: λ = 1.5418 Å (Cu Kα). Structure: a structure optimized by DFT (PBE).

Peak list (10 most intense, 10 to 90 degrees two-theta, most intense first)
2θ/deg	I/Imax	(hkl)
40.68	100	2 2 1
40.84	94	1 3 1
25.39	84	0 0 1
31.25	79	2 2 0
24.46	74	2 0 0
31.45	74	1 3 0
35.54	69	2 0 1
19.15	67	0 2 0
31.99	47	0 2 1
57.64	30	1 5 1

Structure:
Cell: 7.279 9.270 3.509 Å, 90.00 90.00 90.00°
Space group Cmmm (No. 65)
Asymmetric unit:
Lu  0.000  0.199  0.000
Al  0.181  0.500  0.000
B  0.000  0.407  0.500
B  0.121  0.000  0.500
B  0.223  0.340  0.500

***

# 6
This entry pairs a crystal structure of MgAlB4 with its simulated powder diffractogram. Radiation: λ = 1.5418 Å (Cu Kα). Structure: a structure optimized by DFT (PBE).

Peak list (10 most intense, 10 to 90 degrees two-theta, most intense first)
2θ/deg	I/Imax	(hkl)
43.63	100	1 0 2
34.06	30	1 0 0
60.97	25	1 1 0
86.16	18	1 1 4
77.93	16	2 0 2
54.42	11	0 0 4
65.78	10	1 0 4
26.43	5	0 0 2
67.62	4	1 1 2
71.72	4	2 0 0

Structure:
Cell: 3.0391 3.0391 6.7439 Å, 90.00 90.00 120.00°
Space group P6/mmm (No. 191)
Asymmetric unit:
Mg  0.0000  0.0000  0.0000
Al  0.0000  0.0000  0.5000
B  0.3333  0.6667  0.2663